Entry 1:
Li4Ti5Co3O16: calculated X-ray diffraction stick pattern (λ = 1.5418 Å (Cu Kα)), based on a crystal structure in the Materials Project, relaxed with PBE+U.
Peak positions follow from Bragg's law for the DFT cell and can differ from measured ones.

Structure:
Cell: 5.8045 5.8045 9.5155 Å, 90.32 90.32 60.58°
Fractional positions:
Li 0.0000 0.0000 0.0000
Li 0.0071 0.0071 0.4965
Li 0.3293 0.3293 0.3968
Li 0.6608 0.6608 0.9065
Ti 0.1572 0.6472 0.7257
Ti 0.3292 0.3292 0.0081
Ti 0.6472 0.1572 0.7257
Ti 0.6499 0.6499 0.4987
Ti 0.8205 0.8205 0.2311
Co 0.1684 0.1684 0.7138
Co 0.3394 0.8247 0.2165
Co 0.8247 0.3394 0.2165
O 0.9995 0.9995 0.3081
O 0.0314 0.4951 0.8538
O 0.1641 0.1641 0.1054
O 0.1704 0.6621 0.1020
O 0.3349 0.3349 0.6061
O 0.3357 0.8154 0.5957
O 0.4797 0.4797 0.8396
O 0.4951 0.0314 0.8538
O 0.5129 0.9606 0.3417
O 0.5173 0.5173 0.3347
O 0.6621 0.1704 0.1020
O 0.6621 0.6621 0.1114
O 0.8154 0.3357 0.5957
O 0.8289 0.8289 0.6004
O 0.9606 0.5129 0.3417
O 0.9988 0.9988 0.8094

The 10 most intense peaks (10° ≤ 2θ ≤ 80°), by intensity:
d = 4.758 Å, I 100; d = 4.465 Å, I 80; d = 2.443 Å, I 53; d = 2.687 Å, I 47; d = 1.973 Å, I 39; d = 1.451 Å, I 35; d = 4.446 Å, I 30; d = 1.519 Å, I 30; d = 3.463 Å, I 29; d = 1.980 Å, I 29

Entry 2:
Li9Mn2Co5O16: calculated X-ray diffraction stick pattern (λ = 1.5418 Å (Cu Kα)), based on a crystal structure in the Materials Project, relaxed with PBE+U.
Peak positions follow from Bragg's law for the DFT cell and can differ from measured ones.

Structure:
Cell: 10.6455 10.6455 9.8610 Å, 107.61 107.61 15.73°
Fractional positions:
Li 0.0000 0.0000 0.0000
Li 0.1279 0.1279 0.6024
Li 0.2606 0.2606 0.2460
Li 0.3721 0.3721 0.8789
Li 0.5003 0.5003 0.4776
Li 0.6304 0.6304 0.1295
Li 0.7551 0.7551 0.7426
Li 0.8163 0.8163 0.0534
Li 0.8783 0.8783 0.3642
Mn 0.1952 0.1952 0.9305
Mn 0.5656 0.5656 0.8052
Co 0.0638 0.0638 0.2978
Co 0.3168 0.3168 0.5515
Co 0.4299 0.4299 0.1772
Co 0.6912 0.6912 0.4295
Co 0.9348 0.9348 0.6789
O 0.0388 0.0388 0.6693
O 0.0980 0.0980 0.9420
O 0.1610 0.1610 0.2833
O 0.2207 0.2207 0.5743
O 0.2743 0.2743 0.8953
O 0.3510 0.3510 0.2114
O 0.4143 0.4143 0.5353
O 0.4796 0.4796 0.8274
O 0.5371 0.5371 0.1576
O 0.5960 0.5960 0.4493
O 0.6572 0.6572 0.7896
O 0.7165 0.7165 0.0642
O 0.7859 0.7859 0.4086
O 0.8505 0.8505 0.7097
O 0.9117 0.9117 0.0355
O 0.9721 0.9721 0.3204

The 10 most intense peaks (10° ≤ 2θ ≤ 80°), by intensity:
d = 4.861 Å, I 100; d = 2.076 Å, I 55; d = 2.092 Å, I 27; d = 2.491 Å, I 26; d = 1.480 Å, I 22; d = 2.510 Å, I 14; d = 1.467 Å, I 14; d = 1.913 Å, I 13; d = 1.606 Å, I 10; d = 1.457 Å, I 8